For Rb2BiPWO8, a structure optimized by DFT (GGA+U) gives the computed powder X-ray diffraction pattern in this record (Cu Kα (weighted mean of Kα1 and Kα2)).
Peak positions follow from Bragg's law for the DFT cell and can differ from measured ones.

Most intense lines, 2θ from 10° to 80°, by angle:
| 2θ/deg | d/Å | intensity |
| --- | --- | --- |
| 14.0 | 6.330 | 34 |
| 19.2 | 4.630 | 31 |
| 22.7 | 3.921 | 37 |
| 25.6 | 3.475 | 83 |
| 25.9 | 3.435 | 100 |
| 26.3 | 3.395 | 82 |
| 29.9 | 2.985 | 52 |
| 30.2 | 2.957 | 53 |
| 31.2 | 2.869 | 34 |
| 42.7 | 2.119 | 33 |

Atomic structure:
```
Rb2BiPWO8
1.0
-3.591 6.330 10.424
3.591 -6.330 10.424
3.591 6.330 -10.424
Rb Bi P W O
8 4 4 4 32
Direct
0.077 0.689 0.451
0.238 0.189 0.113
0.262 0.374 0.951
0.423 0.874 0.613
0.577 0.126 0.387
0.738 0.626 0.049
0.762 0.811 0.887
0.923 0.311 0.549
0.167 0.750 0.917
0.333 0.250 0.583
0.667 0.750 0.417
0.833 0.250 0.083
0.074 0.250 0.324
0.426 0.750 0.176
0.574 0.250 0.824
0.926 0.750 0.676
0.088 0.838 0.250
0.412 0.662 0.750
0.588 0.338 0.250
0.912 0.162 0.750
0.059 0.333 0.274
0.059 0.833 0.774
0.073 0.148 0.798
0.102 0.683 0.012
0.142 0.409 0.569
0.150 0.725 0.298
0.160 0.091 0.233
0.171 0.090 0.488
0.329 0.817 0.919
0.340 0.573 0.931
0.350 0.648 0.575
0.358 0.927 0.267
0.398 0.410 0.581
0.427 0.225 0.075
0.441 0.215 0.774
0.441 0.715 0.274
0.559 0.285 0.726
0.559 0.785 0.226
0.573 0.775 0.925
0.602 0.590 0.419
0.642 0.073 0.733
0.650 0.352 0.425
0.660 0.427 0.069
0.671 0.183 0.081
0.829 0.910 0.512
0.840 0.909 0.767
0.850 0.275 0.702
0.858 0.591 0.431
0.898 0.317 0.988
0.927 0.852 0.202
0.941 0.167 0.226
0.941 0.667 0.726
```